Entry 1:
This entry pairs a crystal structure of LiZr2O4 with its calculated PXRD pattern. Radiation: Cu Kα (weighted mean of Kα1 and Kα2). Structure: DFT lattice parameters and positions (GGA-PBE).

The 12 most intense peaks (10° ≤ 2θ ≤ 90°), by intensity:
2θ/deg, I/Imax
16.8, 100
32.6, 53
39.5, 51
57.1, 34
34.1, 26
52.1, 22
60.0, 18
43.2, 16
68.2, 13
81.0, 10
71.7, 10
74.3, 9

```
LiZr2O4
1.0
0.000 4.560 4.560
4.560 0.000 4.560
4.560 4.560 0.000
Li Zr O
2 4 8
Direct
0.125 0.125 0.125 Li
0.875 0.875 0.875 Li
0.000 0.500 0.500 Zr
0.500 0.000 0.500 Zr
0.500 0.500 0.000 Zr
0.500 0.500 0.500 Zr
0.262 0.262 0.262 O
0.262 0.262 0.713 O
0.262 0.713 0.262 O
0.287 0.738 0.738 O
0.713 0.262 0.262 O
0.738 0.287 0.738 O
0.738 0.738 0.287 O
0.738 0.738 0.738 O
```


Entry 2:
This entry pairs a crystal structure of Ag3AuSe2 with its calculated PXRD pattern. Radiation: Cu Kα (weighted mean of Kα1 and Kα2). Structure: DFT lattice parameters and positions (GGA-PBE).

The 12 most intense peaks (10° ≤ 2θ ≤ 90°), by intensity:
2θ/deg, I/Imax
33.1, 100
12.3, 36
39.8, 32
43.7, 30
49.2, 28
45.6, 23
73.6, 23
37.6, 19
30.5, 17
62.1, 14
69.4, 12
74.9, 10

```
Ag3AuSe2
1.0
-5.070 5.070 5.070
5.070 -5.070 5.070
5.070 5.070 -5.070
Ag Au Se
12 4 8
Direct
0.128 0.750 0.878 Ag
0.128 0.878 0.250 Ag
0.250 0.128 0.878 Ag
0.250 0.622 0.372 Ag
0.372 0.250 0.622 Ag
0.372 0.622 0.750 Ag
0.622 0.372 0.250 Ag
0.622 0.750 0.372 Ag
0.750 0.372 0.622 Ag
0.750 0.878 0.128 Ag
0.878 0.128 0.750 Ag
0.878 0.250 0.128 Ag
0.000 0.250 0.500 Au
0.250 0.250 0.250 Au
0.250 0.500 0.000 Au
0.500 0.000 0.250 Au
0.000 0.535 0.500 Se
0.000 0.965 0.500 Se
0.500 0.000 0.535 Se
0.500 0.000 0.965 Se
0.535 0.500 0.000 Se
0.535 0.535 0.535 Se
0.965 0.500 0.000 Se
0.965 0.965 0.965 Se
```


Entry 3:
This entry pairs a crystal structure of Ba2NbP2O9F with its calculated PXRD pattern. Radiation: Cu Kα (weighted mean of Kα1 and Kα2). Structure: DFT lattice parameters and positions (GGA-PBE).

The 12 most intense peaks (10° ≤ 2θ ≤ 90°), by intensity:
2θ/deg, I/Imax
26.3, 100
20.0, 93
29.2, 69
31.8, 65
22.9, 60
22.8, 44
32.0, 42
40.3, 42
27.7, 40
46.6, 37
37.5, 31
36.6, 27

```
Ba2NbP2O9F
1.0
7.195 0.000 0.000
0.000 7.283 0.000
-0.192 0.000 9.161
Ba Nb P O F
4 2 4 18 2
Direct
0.171 0.000 0.068 Ba
0.172 0.224 0.572 Ba
0.828 0.724 0.428 Ba
0.829 0.500 0.932 Ba
0.476 0.358 0.251 Nb
0.524 0.858 0.749 Nb
0.304 0.720 0.427 P
0.305 0.508 0.927 P
0.695 0.008 0.073 P
0.696 0.220 0.573 P
0.177 0.582 0.501 O
0.177 0.645 0.001 O
0.193 0.880 0.360 O
0.194 0.348 0.860 O
0.240 0.284 0.268 O
0.432 0.604 0.811 O
0.433 0.625 0.312 O
0.455 0.799 0.539 O
0.458 0.430 0.038 O
0.542 0.930 0.962 O
0.545 0.299 0.461 O
0.567 0.125 0.688 O
0.568 0.104 0.189 O
0.760 0.784 0.732 O
0.806 0.848 0.140 O
0.807 0.380 0.640 O
0.823 0.082 0.499 O
0.823 0.145 0.999 O
0.240 0.949 0.768 F
0.760 0.449 0.232 F
```


Which formula does entry 1 have?
LiZr2O4